La2Fe2S2O3: computed powder diffraction line list (Cu Ka), based on DFT lattice parameters and positions (GGA+U).
Lines closer than 0.1° are merged.

Structural model:
a = 9.4574 Å, b = 9.4574 Å, c = 9.4574 Å
α = 155.25°, β = 155.25°, γ = 35.28°
Fractional coordinates of all 9 atoms:
La (0.1812, 0.1812, 0.0000)
La (0.8188, 0.8188, 0.0000)
Fe (0.0000, 0.5000, 0.5000)
Fe (0.5000, 0.0000, 0.5000)
S (0.4058, 0.4058, 0.0000)
S (0.5942, 0.5942, 0.0000)
O (0.0000, 0.0000, 0.0000)
O (0.2500, 0.7500, 0.5000)
O (0.7500, 0.2500, 0.5000)

Largest 6 diffraction maxima, by angle, 5° ≤ 2θ ≤ 70°:
d/Å	Rel. int.
3.360	100
2.731	52
2.694	99
2.026	56
1.771	45
1.619	40